# BaAlCrCuO5
Simulated powder X-ray diffraction pattern, λ = 1.5418 Å (Cu Kα). Input: DFT lattice parameters and positions (GGA+U).

Crystal structure
Cell lengths 3.7619, 3.7619, 7.8416 Å; angles 90.00, 90.00, 90.00 degrees
Space group P4mm (No. 99)
Unique sites:
Ba: 0.0000 0.0000 0.0000 x1
Al: 0.0000 0.0000 0.4655 x1
Cr: 0.5000 0.5000 0.6794 x1
Cu: 0.5000 0.5000 0.2676 x1
O: 0.0000 0.5000 0.2970 x2
O: 0.0000 0.5000 0.6130 x2
O: 0.5000 0.5000 0.9242 x1

The 10 most intense peaks (10 to 90 degrees two-theta), by intensity:
2θ/deg, Rel. int.
33.0, 100
26.3, 42
33.7, 41
59.8, 35
48.4, 34
34.3, 23
35.6, 20
58.5, 16
11.3, 15
60.7, 15